This entry pairs a crystal structure of MgTi3 with its theoretical powder X-ray diffraction pattern. Radiation: a wavelength of 1.5418 Å. Structure: a DFT-relaxed cell (GGA-PBE, the Materials Project).
Neutral-atom scattering factors, no anomalous dispersion.

Structure:
Cell: 2.857 4.859 5.280 Å, 90.00 90.00 90.00°
Space group Pmm2 (No. 25)
Inequivalent atoms, fractional coordinates:
Mg 0.000 0.000 0.000 x1
Ti 0.000 0.500 0.662 x1
Ti 0.500 0.000 0.507 x1
Ti 0.500 0.500 0.208 x1

Principal peaks in the range 10° ≤ 2θ ≤ 90°, low angle first:
(hkl)  Position (°2θ)  I (rel.)
0 0 1  16.79  156
0 0 2  33.96  107
1 0 1  35.74  301
0 2 0  37.00  460
0 1 2  38.82  625
1 1 1  40.42  1000
1 2 1  52.39  182
1 0 3  61.93  157
0 3 2  67.90  108
1 3 1  68.99  177
1 2 3  74.39  174
2 1 2  78.67  130



This entry pairs a crystal structure of CeDyS3 with its theoretical powder X-ray diffraction pattern. Radiation: a wavelength of 1.5418 Å. Structure: a DFT-relaxed cell (GGA-PBE, the Materials Project).
Neutral-atom scattering factors, no anomalous dispersion.

Structure:
Cell: 7.386 3.983 15.290 Å, 90.00 90.00 90.00°
Space group Pnma (No. 62)
Inequivalent atoms, fractional coordinates:
Ce 0.140 0.250 0.203 x4
Dy 0.233 0.750 0.456 x4
S 0.011 0.250 0.394 x4
S 0.126 0.750 0.064 x4
S 0.149 0.250 0.782 x4

Principal peaks in the range 10° ≤ 2θ ≤ 90°, low angle first:
(hkl)  Position (°2θ)  I (rel.)
2 0 0  24.10  281
2 0 1  24.80  318
1 1 1  26.08  1000
1 0 4  26.25  700
0 1 3  28.44  465
2 1 2  35.16  630
0 1 5  37.06  292
2 1 3  37.61  330
1 1 5  39.09  373
3 1 1  43.62  210
0 2 0  45.55  315
1 2 4  53.33  210



This entry pairs a crystal structure of NaGa2P2O9 with its theoretical powder X-ray diffraction pattern. Radiation: a wavelength of 1.5418 Å. Structure: a DFT-relaxed cell (GGA-PBE, the Materials Project).
Neutral-atom scattering factors, no anomalous dispersion.

Structure:
Cell: 9.067 9.123 9.933 Å, 90.00 120.90 90.00°
Space group P2_1/c (No. 14)
Inequivalent atoms, fractional coordinates:
Na 0.207 0.121 0.479 x4
Ga 0.162 0.733 0.430 x4
Ga 0.473 0.087 0.121 x4
P 0.163 0.047 0.767 x4
P 0.331 0.613 0.769 x4
O 0.039 0.146 0.628 x4
O 0.058 0.586 0.276 x4
O 0.178 0.678 0.616 x4
O 0.248 0.136 0.922 x4
O 0.273 0.610 0.893 x4
O 0.297 0.509 0.226 x4
O 0.374 0.045 0.248 x4
O 0.408 0.610 0.511 x4
O 0.494 0.709 0.828 x4

Principal peaks in the range 10° ≤ 2θ ≤ 90°, low angle first:
(hkl)  Position (°2θ)  I (rel.)
0 1 1  14.22  503
1 1 -1  14.50  716
1 1 0  14.97  1000
1 2 0  22.60  351
0 1 2  23.03  930
2 1 -2  23.74  643
2 2 -1  27.78  759
0 2 2  28.65  660
2 1 1  31.35  775
1 3 -2  34.59  791
2 0 -4  36.21  327
2 3 0  37.55  368